AgRh2: computed powder X-ray diffraction pattern (Cu Kα), based on a GGA-PBE-relaxed structure.
Lines closer than 0.1° are merged.

Cell and atoms:
```
data_AgRh2
_chemical_formula_sum 'Ag1 Rh2'
_cell_length_a 2.7645
_cell_length_b 2.7645
_cell_length_c 6.9229
_cell_angle_alpha 90.00
_cell_angle_beta 90.00
_cell_angle_gamma 120.00
_space_group_name_H-M_alt 'P -3 m 1'
_space_group_IT_number 164
_space_group_name_Hall '-P 3 2"'
loop_
_atom_site_label
_atom_site_type_symbol
_atom_site_fract_x
_atom_site_fract_y
_atom_site_fract_z
Ag1 Ag 0.0000 0.0000 0.0000
Rh1 Rh 0.3333 0.6667 0.6534
```

Principal peaks in the range 15 to 90 degrees two-theta, by angle:
2θ (°)  I/Imax  (hkl)
39.0  33.9  0 0 3
39.8  100.0  1 0 1
46.1  64.3  0 1 2
66.7  20.3  1 0 4
67.8  19.8  1 1 0
80.1  11.4  0 1 5
81.1  22.9  1 1 3
81.6  11.8  0 2 1